Simulated XRD peak list
Compound: Ce3Ga8Pd3
Radiation: Cu Kα
Structure: the GGA-PBE geometry in Alexandria

Crystal structure
```
data_Ce3Ga8Pd3
_chemical_formula_sum 'Ce6 Ga16 Pd6'
_space_group_name_H-M_alt 'C 1 2/m 1'
_space_group_IT_number 12
_cell_length_a 15.9133
_cell_length_b 4.5451
_cell_length_c 8.8705
_cell_angle_alpha 90.00
_cell_angle_beta 123.36
_cell_angle_gamma 90.00
loop_
_space_group_symop_operation_xyz
'x,y,z'
'-x,-y,-z'
'-x,y,-z'
'x,-y,z'
'x+1/2,y+1/2,z'
'-x+1/2,-y+1/2,-z'
'-x+1/2,y+1/2,-z'
'x+1/2,-y+1/2,z'
loop_
_atom_site_label
_atom_site_fract_x
_atom_site_fract_y
_atom_site_fract_z
Ce1 0.0000 0.0000 0.0000
Ce2 0.2141 0.5000 0.7088
Ga1 0.0029 0.5000 0.6708
Ga2 0.1418 0.0000 0.4325
Ga3 0.1510 0.0000 0.8620
Ga4 0.1510 0.5000 0.2863
Pd1 0.0000 0.0000 0.5000
Pd2 0.1490 0.5000 0.0011
```

Main lines, by angle (10° ≤ 2θ ≤ 90°):
two_theta, intensity, (hkl)
28.1, 32, 3 1 0
33.9, 36, 6 0 -2
34.7, 66, 1 1 2
34.9, 100, 5 1 -2
35.0, 42, 5 1 -1
36.2, 62, 3 1 -3
39.7, 91, 0 2 0
40.7, 37, 6 0 0



Simulated XRD peak list
Compound: Ce3Ga2Pd2
Radiation: Cu Kα
Structure: the GGA-PBE geometry in Alexandria

Crystal structure
```
data_Ce3Ga2Pd2
_chemical_formula_sum 'Ce12 Ga8 Pd8'
_space_group_name_H-M_alt 'P b c m'
_space_group_IT_number 57
_cell_length_a 5.7079
_cell_length_b 8.1950
_cell_length_c 13.4528
_cell_angle_alpha 90.00
_cell_angle_beta 90.00
_cell_angle_gamma 90.00
loop_
_space_group_symop_operation_xyz
'x,y,z'
'-x,-y,-z'
'-x,-y,z+1/2'
'x,y,-z+1/2'
'x,-y+1/2,-z'
'-x,y+1/2,z'
'-x,y+1/2,-z+1/2'
'x,-y+1/2,z+1/2'
loop_
_atom_site_label
_atom_site_fract_x
_atom_site_fract_y
_atom_site_fract_z
Ce1 0.1389 0.2411 0.2500
Ce2 0.3523 0.6028 0.1007
Ga1 0.1768 0.2500 0.0000
Ga2 0.3673 0.6110 0.7500
Pd1 0.1229 0.5418 0.5928
```

Main lines, by angle (10° ≤ 2θ ≤ 90°):
two_theta, intensity, (hkl)
32.8, 58, 1 1 4
33.2, 45, 2 1 0
33.5, 60, 1 2 3
34.5, 52, 0 2 4
36.5, 82, 1 3 0
39.0, 100, 2 1 3
40.2, 35, 0 0 6
65.4, 28, 4 0 0



Simulated XRD peak list
Compound: Ce2Ga12Pd
Radiation: Cu Kα
Structure: the GGA-PBE geometry in Alexandria

Crystal structure
```
data_Ce2Ga12Pd
_chemical_formula_sum 'Ce4 Ga24 Pd2'
_space_group_name_H-M_alt 'P 4/n b m'
_space_group_IT_number 125
_cell_length_a 6.1328
_cell_length_b 6.1328
_cell_length_c 15.4660
_cell_angle_alpha 90.00
_cell_angle_beta 90.00
_cell_angle_gamma 90.00
loop_
_space_group_symop_operation_xyz
'x,y,z'
'-x,-y,-z'
'-y+1/2,x,z'
'y+1/2,-x,-z'
'-x+1/2,-y+1/2,z'
'x+1/2,y+1/2,-z'
'y,-x+1/2,z'
'-y,x+1/2,-z'
'x,-y+1/2,-z'
'-x,y+1/2,z'
'-y+1/2,-x+1/2,-z'
'y+1/2,x+1/2,z'
'-x+1/2,y,-z'
'x+1/2,-y,z'
'y,x,-z'
'-y,-x,z'
loop_
_atom_site_label
_atom_site_fract_x
_atom_site_fract_y
_atom_site_fract_z
Ce1 0.2500 0.7500 0.2437
Ga1 0.0002 0.9998 0.0900
Ga2 0.0804 0.5804 0.4296
Ga3 0.2500 0.2500 0.1866
Ga4 0.2500 0.2500 0.3439
Pd1 0.2500 0.7500 0.0000
```

Main lines, by angle (10° ≤ 2θ ≤ 90°):
two_theta, intensity, (hkl)
31.0, 77, 1 1 4
31.4, 100, 2 0 2
37.4, 50, 2 0 4
40.7, 35, 1 1 6
41.5, 31, 2 0 5
41.7, 84, 2 2 0
46.0, 28, 2 0 6
52.8, 40, 3 1 4